Entry 1:
# SmH2
Simulated powder diffractogram, Cu Kα X-rays. Input: DFT lattice parameters and positions (GGA-PBE).
Peak positions follow from Bragg's law for the DFT cell and can differ from measured ones.

a b c (Å): 3.811 3.811 3.811
angles (deg): 60.00 60.00 60.00
Atoms (fractional coordinates):
Sm  0.000  0.000  0.000
H  0.250  0.250  0.250
H  0.750  0.750  0.750

Top 8 peaks for 2θ from 10° to 80°, in order of rising 2θ:
two_theta  I_rel
28.7  100
33.2  49
47.7  38
56.6  45
59.4  13
69.8  6
77.1  18
79.5  16

Entry 2:
# Eu3Ta5O15
Simulated powder diffractogram, Cu Kα X-rays. Input: DFT lattice parameters and positions (GGA-PBE).
Peak positions follow from Bragg's law for the DFT cell and can differ from measured ones.

a b c (Å): 12.583 12.583 3.975
angles (deg): 90.00 90.00 90.00
Atoms (fractional coordinates):
Eu  0.000  0.000  0.000
Eu  0.163  0.337  0.000
Eu  0.337  0.837  0.000
Eu  0.500  0.500  0.000
Eu  0.663  0.163  0.000
Eu  0.837  0.663  0.000
Ta  0.000  0.500  0.500
Ta  0.080  0.790  0.500
Ta  0.210  0.080  0.500
Ta  0.290  0.580  0.500
Ta  0.420  0.290  0.500
Ta  0.500  0.000  0.500
Ta  0.580  0.710  0.500
Ta  0.710  0.420  0.500
Ta  0.790  0.920  0.500
Ta  0.920  0.210  0.500
O  0.000  0.500  0.000
O  0.010  0.341  0.500
O  0.063  0.135  0.500
O  0.080  0.794  0.000
O  0.135  0.937  0.500
O  0.159  0.490  0.500
O  0.206  0.080  0.000
O  0.229  0.729  0.500
O  0.271  0.229  0.500
O  0.294  0.580  0.000
O  0.341  0.990  0.500
O  0.365  0.437  0.500
O  0.420  0.294  0.000
O  0.437  0.635  0.500
O  0.490  0.841  0.500
O  0.500  0.000  0.000
O  0.510  0.159  0.500
O  0.563  0.365  0.500
O  0.580  0.706  0.000
O  0.635  0.563  0.500
O  0.659  0.010  0.500
O  0.706  0.420  0.000
O  0.729  0.771  0.500
O  0.771  0.271  0.500
O  0.794  0.920  0.000
O  0.841  0.510  0.500
O  0.865  0.063  0.500
O  0.920  0.206  0.000
O  0.937  0.865  0.500
O  0.990  0.659  0.500

Top 8 peaks for 2θ from 10° to 80°, in order of rising 2θ:
two_theta  I_rel
25.5  29
27.5  42
29.3  44
30.1  18
31.8  100
45.6  29
51.3  23
56.7  33

Entry 3:
# ErTe3
Simulated powder diffractogram, Cu Kα X-rays. Input: DFT lattice parameters and positions (GGA-PBE).
Peak positions follow from Bragg's law for the DFT cell and can differ from measured ones.

a b c (Å): 13.110 13.110 4.340
angles (deg): 90.00 90.00 160.96
Atoms (fractional coordinates):
Er  0.170  0.830  0.750
Er  0.830  0.170  0.250
Te  0.075  0.925  0.250
Te  0.293  0.707  0.750
Te  0.425  0.575  0.250
Te  0.575  0.425  0.750
Te  0.707  0.293  0.250
Te  0.925  0.075  0.750

Top 8 peaks for 2θ from 10° to 80°, in order of rising 2θ:
two_theta  I_rel
27.6  42
29.3  23
30.9  100
34.0  55
38.1  26
41.6  56
50.7  31
69.4  19

Entry 4:
# Na2TiAu
Simulated powder diffractogram, Cu Kα X-rays. Input: DFT lattice parameters and positions (GGA-PBE).
Peak positions follow from Bragg's law for the DFT cell and can differ from measured ones.

a b c (Å): 4.888 4.888 4.888
angles (deg): 60.00 60.00 60.00
Atoms (fractional coordinates):
Na  0.250  0.250  0.250
Na  0.750  0.750  0.750
Ti  0.000  0.000  0.000
Au  0.500  0.500  0.500

Top 8 peaks for 2θ from 10° to 80°, in order of rising 2θ:
two_theta  I_rel
22.3  59
25.8  55
36.8  100
43.4  34
45.4  16
53.0  17
59.8  22
66.2  34

Entry 5:
# SrEuGe4O12
Simulated powder diffractogram, Cu Kα X-rays. Input: DFT lattice parameters and positions (GGA-PBE).
Peak positions follow from Bragg's law for the DFT cell and can differ from measured ones.

a b c (Å): 5.373 5.373 7.634
angles (deg): 90.00 90.00 90.00
Atoms (fractional coordinates):
Sr  0.000  0.000  0.000
Eu  0.500  0.500  0.500
Ge  0.000  0.500  0.246
Ge  0.000  0.500  0.754
Ge  0.500  0.000  0.246
Ge  0.500  0.000  0.754
O  0.000  0.500  0.000
O  0.000  0.500  0.500
O  0.255  0.255  0.257
O  0.255  0.255  0.743
O  0.255  0.745  0.257
O  0.255  0.745  0.743
O  0.500  0.000  0.000
O  0.500  0.000  0.500
O  0.745  0.255  0.257
O  0.745  0.255  0.743
O  0.745  0.745  0.257
O  0.745  0.745  0.743

Top 8 peaks for 2θ from 10° to 80°, in order of rising 2θ:
two_theta  I_rel
20.2  59
33.3  100
39.3  22
47.6  14
47.9  27
59.4  13
59.6  26
69.9  16

Entry 6:
# Ba5Ru2Br2O9
Simulated powder diffractogram, Cu Kα X-rays. Input: DFT lattice parameters and positions (GGA-PBE).
Peak positions follow from Bragg's law for the DFT cell and can differ from measured ones.

a b c (Å): 5.937 5.937 25.928
angles (deg): 90.00 90.00 120.00
Atoms (fractional coordinates):
Ba  0.333  0.667  0.086
Ba  0.333  0.667  0.250
Ba  0.333  0.667  0.414
Ba  0.333  0.667  0.674
Ba  0.333  0.667  0.826
Ba  0.667  0.333  0.174
Ba  0.667  0.333  0.326
Ba  0.667  0.333  0.586
Ba  0.667  0.333  0.750
Ba  0.667  0.333  0.914
Ru  0.000  0.000  0.195
Ru  0.000  0.000  0.305
Ru  0.000  0.000  0.695
Ru  0.000  0.000  0.805
Br  0.333  0.667  0.546
Br  0.333  0.667  0.954
Br  0.667  0.333  0.046
Br  0.667  0.333  0.454
O  0.151  0.302  0.750
O  0.151  0.849  0.750
O  0.160  0.320  0.158
O  0.160  0.320  0.342
O  0.160  0.840  0.158
O  0.160  0.840  0.342
O  0.302  0.151  0.250
O  0.320  0.160  0.658
O  0.320  0.160  0.842
O  0.680  0.840  0.158
O  0.680  0.840  0.342
O  0.698  0.849  0.750
O  0.840  0.160  0.658
O  0.840  0.160  0.842
O  0.840  0.680  0.658
O  0.840  0.680  0.842
O  0.849  0.151  0.250
O  0.849  0.698  0.250

Top 8 peaks for 2θ from 10° to 80°, in order of rising 2θ:
two_theta  I_rel
18.6  21
29.7  71
30.1  100
41.2  20
42.8  38
53.2  26
53.5  20
62.6  16

Entry 7:
# BaHBr2O6
Simulated powder diffractogram, Cu Kα X-rays. Input: DFT lattice parameters and positions (GGA-PBE).
Peak positions follow from Bragg's law for the DFT cell and can differ from measured ones.

a b c (Å): 7.574 7.574 8.696
angles (deg): 121.27 121.27 68.09
Atoms (fractional coordinates):
Ba  0.162  0.838  0.750
Ba  0.838  0.162  0.250
H  0.198  0.802  0.250
H  0.802  0.198  0.750
Br  0.290  0.325  0.302
Br  0.325  0.290  0.802
Br  0.675  0.710  0.198
Br  0.710  0.675  0.698
O  0.105  0.179  0.634
O  0.179  0.105  0.134
O  0.213  0.402  0.482
O  0.245  0.548  0.897
O  0.402  0.213  0.982
O  0.452  0.755  0.603
O  0.548  0.245  0.397
O  0.598  0.787  0.018
O  0.755  0.452  0.103
O  0.787  0.598  0.518
O  0.821  0.895  0.866
O  0.895  0.821  0.366

Top 8 peaks for 2θ from 10° to 80°, in order of rising 2θ:
two_theta  I_rel
14.6  100
24.1  30
25.4  33
26.3  38
27.8  53
28.7  40
29.3  54
29.5  62